1.
This entry pairs a crystal structure of Ca4Mn3AlO11 with its theoretical powder diffraction line list. Radiation: Cu Kα X-rays. Structure: a cell relaxed with PBE+U.
Intensities are scaled so that the largest is 100.

Structural model:
Cell lengths 7.646, 7.646, 3.783 Å; angles 90.00, 90.00, 90.00 degrees
Sites, in units of the cell vectors:
Ca (0.233, 0.233, 0.000)
Ca (0.233, 0.767, 0.000)
Ca (0.767, 0.233, 0.000)
Ca (0.767, 0.767, 0.000)
Mn (0.000, 0.000, 0.500)
Mn (0.000, 0.500, 0.500)
Mn (0.500, 0.000, 0.500)
Al (0.500, 0.500, 0.500)
O (0.000, 0.000, 0.000)
O (0.000, 0.250, 0.500)
O (0.000, 0.500, 0.000)
O (0.000, 0.750, 0.500)
O (0.250, 0.000, 0.500)
O (0.262, 0.500, 0.500)
O (0.500, 0.000, 0.000)
O (0.500, 0.262, 0.500)
O (0.500, 0.738, 0.500)
O (0.738, 0.500, 0.500)
O (0.750, 0.000, 0.500)

Top 10 peaks for 10 to 90 degrees two-theta, by angle:
(1 0 0), 11.6°, d = 7.646 Å, I 26; (2 2 0), 33.1°, d = 2.703 Å, I 39; (2 0 1), 33.3°, d = 2.689 Å, I 100; (4 0 0), 47.6°, d = 1.912 Å, I 47; (0 0 2), 48.1°, d = 1.891 Å, I 24; (4 2 1), 59.3°, d = 1.558 Å, I 31; (2 2 2), 59.7°, d = 1.550 Å, I 14; (4 4 0), 69.5°, d = 1.352 Å, I 12; (4 0 2), 70.0°, d = 1.345 Å, I 24; (4 4 2), 89.0°, d = 1.100 Å, I 11

2.
This entry pairs a crystal structure of Ca2MnAl2Si3O13 with its theoretical powder diffraction line list. Radiation: Cu Kα X-rays. Structure: a cell relaxed with PBE+U.
Intensities are scaled so that the largest is 100.

Structural model:
Cell lengths 8.917, 5.758, 10.359 Å; angles 90.00, 113.72, 90.00 degrees
Sites, in units of the cell vectors:
Ca (0.107, 0.250, 0.343)
Ca (0.294, 0.750, 0.918)
Ca (0.706, 0.250, 0.082)
Ca (0.893, 0.750, 0.657)
Mn (0.500, 0.000, 0.500)
Mn (0.500, 0.500, 0.500)
Al (0.000, 0.000, 0.000)
Al (0.000, 0.500, 0.000)
Al (0.451, 0.250, 0.751)
Al (0.549, 0.750, 0.249)
Si (0.088, 0.250, 0.767)
Si (0.201, 0.750, 0.543)
Si (0.369, 0.250, 0.178)
Si (0.631, 0.750, 0.822)
Si (0.799, 0.250, 0.457)
Si (0.912, 0.750, 0.233)
O (0.023, 0.750, 0.406)
O (0.040, 0.018, 0.833)
O (0.040, 0.482, 0.833)
O (0.140, 0.750, 0.050)
O (0.162, 0.750, 0.680)
O (0.170, 0.250, 0.092)
O (0.280, 0.250, 0.795)
O (0.300, 0.510, 0.533)
O (0.300, 0.990, 0.533)
O (0.396, 0.250, 0.350)
O (0.438, 0.750, 0.367)
O (0.456, 0.015, 0.147)
O (0.456, 0.485, 0.147)
O (0.544, 0.515, 0.853)
O (0.544, 0.985, 0.853)
O (0.562, 0.250, 0.633)
O (0.604, 0.750, 0.650)
O (0.700, 0.010, 0.467)
O (0.700, 0.490, 0.467)
O (0.720, 0.750, 0.205)
O (0.830, 0.750, 0.908)
O (0.838, 0.250, 0.320)
O (0.860, 0.250, 0.950)
O (0.960, 0.518, 0.167)
O (0.960, 0.982, 0.167)
O (0.977, 0.250, 0.594)

Top 10 peaks for 10 to 90 degrees two-theta, by angle:
(1 0 -1), 11.1°, d = 7.973 Å, I 38; (1 0 1), 16.9°, d = 5.233 Å, I 52; (2 0 0), 21.8°, d = 4.082 Å, I 36; (1 0 -3), 25.8°, d = 3.453 Å, I 36; (1 1 2), 29.7°, d = 3.009 Å, I 100; (3 0 -1), 30.3°, d = 2.949 Å, I 41; (0 1 3), 32.3°, d = 2.771 Å, I 34; (1 2 -1), 33.1°, d = 2.708 Å, I 38; (0 2 2), 36.5°, d = 2.461 Å, I 67; (1 2 -5), 55.2°, d = 1.664 Å, I 38